Entry 1:
Starting from a PBE-relaxed structure, the powder XRD pattern of Cu2Bi8Pb6S19 was simulated for λ = 1.5418 Å (Cu Kα).
Peak positions follow from Bragg's law for the DFT cell and can differ from measured ones.

Structure:
```
Cu2Bi8Pb6S19
1.0
13.712 -2.110 0.000
13.712 2.110 0.000
-13.557 0.000 15.700
Cu Bi Pb S
2 8 6 19
Cartesian
0.156 0.000 1.397
13.711 0.000 14.303
-7.329 0.000 14.058
-1.333 0.000 11.107
1.931 0.000 8.462
-3.228 0.000 15.037
17.095 0.000 0.663
11.935 0.000 7.238
15.200 0.000 4.593
21.196 0.000 1.641
-5.289 0.000 6.397
-2.126 0.000 3.504
5.054 0.000 5.423
8.812 0.000 10.276
15.993 0.000 12.196
19.156 0.000 9.303
-11.686 0.000 15.589
-6.331 0.000 11.406
-3.074 0.000 8.541
-0.307 0.000 5.886
2.798 0.000 3.552
5.646 0.000 1.077
9.417 0.000 1.801
0.339 0.000 13.172
3.625 0.000 10.449
6.933 0.000 7.850
10.242 0.000 5.251
13.528 0.000 2.528
4.449 0.000 13.899
8.220 0.000 14.623
11.068 0.000 12.148
14.174 0.000 9.814
16.941 0.000 7.159
20.198 0.000 4.294
25.552 0.000 0.111
```

Main lines, in order of rising 2θ (10 to 80 degrees two-theta):
2θ (°)	I/Imax
23.64	80
24.72	74
25.75	44
26.67	46
28.02	39
29.86	31
30.35	100
42.90	72
43.26	35
49.51	42

Entry 2:
Starting from a PBE-relaxed structure, the powder XRD pattern of CuBi3PbS6 was simulated for λ = 1.5418 Å (Cu Kα).
Peak positions follow from Bragg's law for the DFT cell and can differ from measured ones.

Structure:
```
CuBi3PbS6
1.0
4.055 0.000 0.000
0.000 11.369 0.000
0.000 0.000 11.687
Cu Bi Pb S
2 6 2 12
Cartesian
0.000 0.475 0.000
0.000 10.894 5.844
0.000 2.691 7.161
0.000 4.870 3.375
0.000 6.499 9.218
0.000 8.678 1.318
2.027 0.837 2.909
2.027 10.532 8.753
2.027 3.251 10.925
2.027 8.118 5.081
0.000 1.208 9.404
0.000 2.165 1.617
0.000 5.118 11.427
0.000 6.251 5.584
0.000 9.204 7.460
0.000 10.161 3.560
2.027 0.601 6.345
2.027 3.432 4.417
2.027 4.260 8.241
2.027 7.109 2.398
2.027 7.938 10.261
2.027 10.769 0.501
```

Main lines, in order of rising 2θ (10 to 80 degrees two-theta):
2θ (°)	I/Imax
21.81	44
24.15	100
24.52	49
24.70	86
27.91	63
28.09	99
31.12	98
34.51	54
44.70	43
45.39	48

Entry 3:
Starting from a PBE-relaxed structure, the powder XRD pattern of Cu4Bi5PbS11 was simulated for λ = 1.5418 Å (Cu Kα).
Peak positions follow from Bragg's law for the DFT cell and can differ from measured ones.

Structure:
```
Cu4Bi5PbS11
1.0
8.856 -1.977 0.000
8.856 1.977 0.000
-1.043 0.000 27.174
Cu Bi Pb S
8 10 2 22
Cartesian
-0.121 0.000 7.246
1.324 0.000 25.058
3.161 0.000 7.813
4.792 0.000 12.875
11.878 0.000 14.299
13.509 0.000 19.361
15.346 0.000 2.116
16.791 0.000 19.928
1.582 0.000 17.674
3.217 0.000 1.420
5.612 0.000 5.579
5.959 0.000 16.307
6.927 0.000 22.950
9.743 0.000 4.224
10.711 0.000 10.867
11.058 0.000 21.595
13.453 0.000 25.754
15.088 0.000 9.500
-0.521 0.000 13.587
8.856 0.000 0.000
0.590 0.000 2.022
1.302 0.000 9.136
0.825 0.000 22.876
1.726 0.000 5.840
2.354 0.000 13.274
3.422 0.000 19.625
4.734 0.000 10.594
4.371 0.000 23.888
6.092 0.000 0.921
7.489 0.000 7.407
8.205 0.000 11.495
8.465 0.000 15.679
9.181 0.000 19.767
10.578 0.000 26.253
12.299 0.000 3.286
11.936 0.000 16.580
13.248 0.000 7.549
14.316 0.000 13.900
14.944 0.000 21.334
15.845 0.000 4.298
15.368 0.000 18.038
16.080 0.000 25.152
```

Main lines, in order of rising 2θ (10 to 80 degrees two-theta):
2θ (°)	I/Imax
24.42	61
25.44	32
27.28	42
27.77	41
28.48	100
28.71	51
32.86	50
45.91	35
46.31	31
52.66	40